PuGa7Pd5: computed powder XRD pattern (Cu Kα X-rays), based on a structure optimized by DFT (GGA-PBE).

abc: 5.481 9.299 8.653
angles: 90.00 90.00 90.00
Space group Imm2 (No. 44)
Inequivalent atoms, fractional coordinates:
Pu  0.000  0.000  0.000 x2
Ga  0.000  0.000  0.345 x2
Ga  0.000  0.000  0.636 x2
Ga  0.000  0.313  0.515 x4
Ga  0.000  0.339  0.989 x4
Ga  0.000  0.500  0.265 x2
Pd  0.000  0.500  0.743 x2
Pd  0.249  0.270  0.252 x8

Main lines, by angle (10 to 80 degrees two-theta):
2theta	intensity	hkl
33.20	43	1 3 0
38.12	85	2 2 0
38.73	44	0 4 0
38.90	66	2 0 2
39.36	100	1 3 2
40.31	42	1 2 3
41.76	49	0 0 4
43.68	55	2 2 2

Pu3Ga4Pd7: computed powder XRD pattern (Cu Kα X-rays), based on a structure optimized by DFT (GGA-PBE).

abc: 15.759 4.119 9.786
angles: 90.00 125.55 90.00
Space group C2/m (No. 12)
Inequivalent atoms, fractional coordinates:
Pu  0.000  0.000  0.000 x2
Pu  0.175  0.500  0.672 x4
Ga  0.114  0.000  0.836 x4
Ga  0.161  0.500  0.270 x4
Pd  0.000  0.000  0.500 x2
Pd  0.006  0.500  0.290 x4
Pd  0.163  0.000  0.427 x4
Pd  0.189  0.500  0.036 x4

Main lines, by angle (10 to 80 degrees two-theta):
2theta	intensity	hkl
30.13	35	3 1 0
34.85	100	1 1 2
35.12	44	3 1 -3
35.45	27	6 0 -3
35.95	78	5 1 -2
36.78	24	4 0 -4
42.30	36	6 0 0
43.96	48	0 2 0

Pu4Ga3Pd: computed powder XRD pattern (Cu Kα X-rays), based on a structure optimized by DFT (GGA-PBE).

abc: 3.005 5.440 10.864
angles: 90.00 90.00 90.00
Space group Pmmm (No. 47)
Inequivalent atoms, fractional coordinates:
Pu  0.000  0.000  0.000 x1
Pu  0.000  0.000  0.500 x1
Pu  0.000  0.500  0.243 x2
Ga  0.500  0.000  0.253 x2
Ga  0.500  0.500  0.500 x1
Pd  0.500  0.500  0.000 x1

Main lines, by angle (10 to 80 degrees two-theta):
2theta	intensity	hkl
23.14	39	0 1 2
32.95	73	0 2 0
38.01	100	1 1 2
44.97	15	1 2 0
47.30	27	0 2 4
62.21	48	1 3 2
71.78	16	2 2 0
78.72	12	0 4 4

PuGa4Pd2: computed powder XRD pattern (Cu Kα X-rays), based on a structure optimized by DFT (GGA-PBE).

abc: 17.405 4.375 6.592
angles: 90.00 90.00 90.00
Space group Pnma (No. 62)
Inequivalent atoms, fractional coordinates:
Pu  0.139  0.250  0.013 x4
Ga  0.038  0.750  0.838 x4
Ga  0.072  0.250  0.484 x4
Ga  0.183  0.750  0.320 x4
Ga  0.189  0.750  0.726 x4
Pd  0.034  0.750  0.250 x4
Pd  0.217  0.250  0.527 x4

Main lines, by angle (10 to 80 degrees two-theta):
2theta	intensity	hkl
28.97	15	5 0 1
35.64	100	2 1 2
37.19	15	6 1 0
38.70	19	7 0 1
41.28	25	0 2 0
57.86	12	7 2 1
68.07	15	12 1 0
71.59	13	2 3 2

Pu2Ga9Pd3: computed powder XRD pattern (Cu Kα X-rays), based on a structure optimized by DFT (GGA-PBE).

abc: 13.336 7.692 10.622
angles: 90.00 114.80 90.00
Space group C2/c (No. 15)
Inequivalent atoms, fractional coordinates:
Pu  0.167  0.084  0.251 x8
Ga  0.000  0.376  0.250 x4
Ga  0.057  0.080  0.921 x8
Ga  0.104  0.313  0.749 x8
Ga  0.110  0.415  0.074 x8
Ga  0.225  0.415  0.420 x8
Pd  0.083  0.250  0.500 x8
Pd  0.250  0.250  0.000 x4

Main lines, by angle (10 to 80 degrees two-theta):
2theta	intensity	hkl
24.92	25	0 2 1
29.71	28	3 1 1
36.42	100	0 2 3
37.30	17	0 0 4
40.61	81	6 0 -2
55.68	18	6 2 1
56.32	16	6 0 -6
71.17	28	3 5 -4

Pu4Ga3Pd5: computed powder XRD pattern (Cu Kα X-rays), based on a structure optimized by DFT (GGA-PBE).

abc: 13.425 5.002 8.354
angles: 90.00 121.76 90.00
Space group C2/m (No. 12)
Inequivalent atoms, fractional coordinates:
Pu  0.077  0.000  0.423 x4
Pu  0.213  0.000  0.890 x4
Ga  0.000  0.500  0.000 x2
Ga  0.246  0.000  0.295 x4
Pd  0.000  0.000  0.000 x2
Pd  0.066  0.500  0.716 x4
Pd  0.168  0.500  0.334 x4

Main lines, by angle (10 to 80 degrees two-theta):
2theta	intensity	hkl
34.19	38	4 0 -3
35.09	84	1 1 2
35.90	95	0 2 0
36.14	27	2 0 2
36.82	44	3 1 1
37.13	66	3 1 -3
38.32	44	5 1 -2
38.92	100	5 1 -1

PuGa4Pd6: computed powder XRD pattern (Cu Kα X-rays), based on a structure optimized by DFT (GGA-PBE).

abc: 7.4051 7.4051 3.8940
angles: 90.00 90.00 120.00
Space group P-6m2 (No. 187)
Inequivalent atoms, fractional coordinates:
Pu  0.0000  0.0000  0.0000 x1
Ga  0.3333  0.6667  0.0000 x1
Ga  0.3968  0.1984  0.5000 x3
Pd  0.1988  0.3977  0.5000 x3
Pd  0.5335  0.0670  0.0000 x3

Main lines, by angle (10 to 80 degrees two-theta):
2theta	intensity	hkl
33.39	31	1 1 1
36.29	100	2 0 1
37.09	38	2 1 0
44.00	17	2 1 1
46.65	22	0 0 2
49.22	25	2 2 0
61.04	18	2 1 2
70.15	17	2 2 2

Pu2Ga5Pd: computed powder XRD pattern (Cu Kα X-rays), based on a structure optimized by DFT (GGA-PBE).

abc: 4.700 4.700 13.926
angles: 90.00 90.00 90.00
Space group I4/mmm (No. 139)
Inequivalent atoms, fractional coordinates:
Pu  0.000  0.000  0.247 x4
Ga  0.000  0.000  0.000 x2
Ga  0.000  0.500  0.103 x8
Pd  0.000  0.000  0.500 x2

Main lines, by angle (10 to 80 degrees two-theta):
2theta	intensity	hkl
12.71	15	0 0 2
26.82	18	1 1 0
29.79	29	1 1 2
37.41	100	1 1 4
38.30	51	2 0 0
55.28	18	2 2 0
66.89	14	2 0 8
68.66	34	3 1 4

Pu3Ga7Pd2: computed powder XRD pattern (Cu Kα X-rays), based on a structure optimized by DFT (GGA-PBE).

abc: 5.5005 5.5005 26.0303
angles: 90.00 90.00 120.00
Space group R-3m (No. 166, hexagonal axes)
Inequivalent atoms, fractional coordinates:
Pu  0.0000  0.0000  0.0000 x3
Pu  0.0000  0.0000  0.1449 x6
Ga  0.0000  0.0000  0.5000 x3
Ga  0.0099  0.5050  0.9192 x18
Pd  0.0000  0.0000  0.3368 x6

Main lines, by angle (10 to 80 degrees two-theta):
2theta	intensity	hkl
30.50	37	1 0 7
32.56	59	1 1 0
33.35	27	0 1 8
37.93	28	0 2 1
38.77	100	1 1 6
62.26	25	3 0 6
63.44	20	2 0 14
68.20	20	2 2 0

Pu2ZnGa6Pd: computed powder XRD pattern (Cu Kα X-rays), based on a structure optimized by DFT (GGA-PBE).

abc: 5.306 6.591 6.598
angles: 75.08 68.29 68.22
Space group P-1 (No. 2)
Inequivalent atoms, fractional coordinates:
Pu  0.004  0.254  0.242 x2
Zn  0.500  0.500  0.000 x1
Ga  0.007  0.212  0.773 x2
Ga  0.348  0.422  0.423 x2
Ga  0.494  0.817  0.194 x2
Pd  0.500  0.000  0.500 x1

Main lines, by angle (10 to 80 degrees two-theta):
2theta	intensity	hkl
29.26	75	1 1 -1
29.45	52	0 0 2
29.78	100	1 2 0
38.37	52	2 0 0
38.96	49	0 2 2
39.99	79	2 2 2
40.78	50	2 0 2
41.20	62	1 1 3

RbSr2GaPd: computed powder XRD pattern (Cu Kα X-rays), based on a structure optimized by DFT (GGA-PBE).

abc: 6.074 6.074 5.055
angles: 90.00 90.00 90.00
Space group P4/mmm (No. 123)
Inequivalent atoms, fractional coordinates:
Rb  0.000  0.000  0.000 x1
Sr  0.000  0.500  0.500 x2
Ga  0.500  0.500  0.000 x1
Pd  0.500  0.500  0.500 x1

Main lines, by angle (10 to 80 degrees two-theta):
2theta	intensity	hkl
14.58	25	1 0 0
22.89	28	1 0 1
27.25	64	1 1 1
29.41	100	2 0 0
35.52	30	0 0 2
42.07	37	2 2 0
46.76	54	2 0 2
56.21	31	2 2 2

GaPd14Rh: computed powder XRD pattern (Cu Kα X-rays), based on a structure optimized by DFT (GGA-PBE).

abc: 9.103 5.573 9.602
angles: 90.00 90.00 90.00
Space group Amm2 (No. 38)
Inequivalent atoms, fractional coordinates:
Ga  0.000  0.000  0.000 x2
Pd  0.000  0.249  0.253 x4
Pd  0.244  0.249  0.082 x8
Pd  0.247  0.000  0.834 x4
Pd  0.250  0.000  0.334 x4
Pd  0.500  0.000  0.164 x2
Pd  0.500  0.000  0.664 x2
Pd  0.500  0.249  0.914 x4
Rh  0.000  0.000  0.500 x2

Main lines, by angle (10 to 80 degrees two-theta):
2theta	intensity	hkl
38.65	39	1 2 2
38.80	21	1 0 4
39.60	52	4 0 0
42.44	100	2 2 2
42.58	45	2 0 4
48.22	20	3 2 2
67.49	21	0 2 6
73.84	27	6 2 2

Ga2PdRh: computed powder XRD pattern (Cu Kα X-rays), based on a structure optimized by DFT (GGA-PBE).

abc: 3.161 4.242 8.950
angles: 98.62 99.97 90.00
Space group P-1 (No. 2)
Inequivalent atoms, fractional coordinates:
Ga  0.060  0.286  0.120 x2
Ga  0.184  0.850  0.366 x2
Pd  0.316  0.654  0.635 x2
Rh  0.438  0.213  0.877 x2

Main lines, by angle (10 to 80 degrees two-theta):
2theta	intensity	hkl
40.24	100	1 1 1
41.46	57	0 0 4
42.19	50	1 -1 2
42.30	50	1 1 -3
42.81	27	0 2 -1
43.15	20	0 2 0
58.40	21	2 0 -1
78.90	14	-1 3 2